Entry 1:
# NaVZnP2O9
Theoretical X-ray diffraction stick pattern, λ = 1.5418 Å (Cu Kα). Input: a DFT-relaxed cell (PBE+U, Alexandria).

Main lines, sorted by position (5 to 70 degrees two-theta):
2θ/deg	I_rel
16.9	59
20.1	100
24.6	16
24.9	23
28.0	20
29.5	33
30.1	26
30.6	12
33.1	24
41.4	21
51.1	12
57.9	14

Structural model:
```
NaVZnP2O9
1.0
8.8524 0.0000 0.0000
0.0000 8.9975 0.0000
-0.3876 0.0000 9.0103
Na V Zn P O
4 4 4 8 36
Direct
0.1898 0.0349 0.0392
0.1898 0.4651 0.5392
0.8102 0.5349 0.4608
0.8102 0.9651 0.9608
0.4220 0.0014 0.7483
0.4220 0.4986 0.2483
0.5780 0.5014 0.7517
0.5780 0.9986 0.2517
0.0434 0.6331 0.1074
0.0434 0.8669 0.6074
0.9566 0.1331 0.3926
0.9566 0.3669 0.8926
0.0495 0.1433 0.7306
0.0495 0.3567 0.2306
0.4871 0.7490 0.5013
0.4871 0.7510 0.0013
0.5129 0.2490 0.9987
0.5129 0.2510 0.4987
0.9505 0.6433 0.7694
0.9505 0.8567 0.2694
0.0286 0.6438 0.6173
0.0286 0.8562 0.1173
0.0643 0.5872 0.8947
0.0643 0.9128 0.3947
0.1055 0.1985 0.2089
0.1055 0.3015 0.7089
0.1758 0.0174 0.7349
0.1758 0.4826 0.2349
0.3790 0.6475 0.4065
0.3790 0.8525 0.9065
0.3875 0.6552 0.1021
0.3875 0.8448 0.6021
0.3962 0.0092 0.2303
0.3962 0.4908 0.7303
0.3978 0.1537 0.9038
0.3978 0.3463 0.4038
0.4151 0.1511 0.5967
0.4151 0.3489 0.0967
0.5849 0.6511 0.9033
0.5849 0.8489 0.4033
0.6022 0.6537 0.5962
0.6022 0.8463 0.0962
0.6038 0.5092 0.2697
0.6038 0.9908 0.7697
0.6125 0.1552 0.3979
0.6125 0.3448 0.8979
0.6210 0.1475 0.0935
0.6210 0.3525 0.5935
0.8242 0.5174 0.7651
0.8242 0.9826 0.2651
0.8945 0.6985 0.2911
0.8945 0.8015 0.7911
0.9357 0.0872 0.6053
0.9357 0.4128 0.1053
0.9714 0.1438 0.8827
0.9714 0.3562 0.3827
```

***

Entry 2:
# NaPW2O8
Theoretical X-ray diffraction stick pattern, λ = 1.5418 Å (Cu Kα). Input: a DFT-relaxed cell (PBE+U, Alexandria).

Main lines, sorted by position (5 to 70 degrees two-theta):
2θ/deg	I_rel
9.8	23
17.6	31
22.2	100
25.4	36
27.3	24
31.1	21
32.7	17
34.0	47
45.2	18
52.3	13
52.6	12
57.4	20

Structural model:
```
NaPW2O8
1.0
6.8630 0.0000 0.0000
0.0000 5.4692 0.0000
-1.4950 0.0000 9.0289
Na P W O
2 2 4 16
Direct
0.2299 0.2500 0.0656
0.7701 0.7500 0.9344
0.2801 0.7500 0.8750
0.7199 0.2500 0.1250
0.1394 0.2500 0.4079
0.4476 0.7500 0.2538
0.5524 0.2500 0.7462
0.8606 0.7500 0.5921
0.0000 0.0000 0.5000
0.0000 0.5000 0.5000
0.0683 0.7500 0.7892
0.2571 0.7500 0.0423
0.2783 0.0078 0.3015
0.2783 0.4922 0.3015
0.3618 0.2500 0.5787
0.3923 0.5154 0.8468
0.3923 0.9846 0.8468
0.6077 0.0154 0.1532
0.6077 0.4846 0.1532
0.6382 0.7500 0.4213
0.7217 0.5078 0.6985
0.7217 0.9922 0.6985
0.7429 0.2500 0.9577
0.9317 0.2500 0.2108
```

***

Entry 3:
# Na2YPWO8
Theoretical X-ray diffraction stick pattern, λ = 1.5418 Å (Cu Kα). Input: a DFT-relaxed cell (PBE+U, Alexandria).

Main lines, sorted by position (5 to 70 degrees two-theta):
2θ/deg	I_rel
14.4	68
17.6	100
24.4	76
27.1	61
27.4	74
29.4	44
32.1	43
32.3	25
32.9	29
35.2	22
49.6	20
50.0	22

Structural model:
```
Na2YPWO8
1.0
-3.4901 6.1355 9.1228
3.4901 -6.1355 9.1228
3.4901 6.1355 -9.1228
Na Y P W O
8 4 4 4 32
Direct
0.1056 0.6571 0.4528
0.2043 0.1571 0.0515
0.2957 0.3472 0.9528
0.3944 0.8472 0.5515
0.6056 0.1528 0.4485
0.7043 0.6528 0.0472
0.7957 0.8429 0.9485
0.8944 0.3429 0.5472
0.1775 0.7500 0.9275
0.3225 0.2500 0.5725
0.6775 0.7500 0.4275
0.8225 0.2500 0.0725
0.0694 0.2500 0.3194
0.4306 0.7500 0.1806
0.5694 0.2500 0.8194
0.9306 0.7500 0.6806
0.0718 0.8218 0.2500
0.4282 0.6782 0.7500
0.5718 0.3218 0.2500
0.9282 0.1782 0.7500
0.0620 0.3278 0.2538
0.0740 0.8278 0.7658
0.1033 0.1898 0.8289
0.1037 0.6686 0.0142
0.1391 0.7256 0.3289
0.1415 0.4174 0.5725
0.1544 0.0895 0.4858
0.1551 0.0826 0.2240
0.3449 0.5689 0.9275
0.3456 0.8314 0.9351
0.3585 0.9311 0.2760
0.3609 0.6898 0.5865
0.3963 0.4105 0.5649
0.3967 0.2256 0.0865
0.4260 0.1918 0.7538
0.4380 0.6918 0.2658
0.5620 0.3082 0.7342
0.5740 0.8082 0.2462
0.6033 0.7744 0.9135
0.6037 0.5895 0.4351
0.6391 0.3102 0.4135
0.6415 0.0689 0.7240
0.6544 0.1686 0.0649
0.6551 0.4311 0.0725
0.8449 0.9174 0.7760
0.8456 0.9105 0.5142
0.8585 0.5826 0.4275
0.8609 0.2744 0.6711
0.8963 0.3314 0.9858
0.8967 0.8102 0.1711
0.9260 0.1722 0.2342
0.9380 0.6722 0.7462
```